(1)
# DyHf3Pd12
Calculated PXRD pattern, Cu Kα. Input: a PBE-relaxed structure.
Peak positions follow from Bragg's law for the DFT cell and can differ from measured ones.

Crystal structure
a b c (Å): 4.034 4.034 16.171
angles (deg): 90.00 90.00 90.00
Space group P4/mmm (No. 123)
Inequivalent atoms, fractional coordinates:
Dy 0.000 0.000 0.000 [1 per cell]
Hf 0.000 0.000 0.250 [2 per cell]
Hf 0.000 0.000 0.500 [1 per cell]
Pd 0.000 0.500 0.132 [4 per cell]
Pd 0.000 0.500 0.377 [4 per cell]
Pd 0.500 0.500 0.000 [1 per cell]
Pd 0.500 0.500 0.255 [2 per cell]
Pd 0.500 0.500 0.500 [1 per cell]

Most intense lines, 10 to 90 degrees two-theta, sorted by position:
| Position (°2θ) | I/Imax |
| --- | --- |
| 38.63 | 100 |
| 44.91 | 49 |
| 65.39 | 31 |
| 78.50 | 11 |
| 78.64 | 25 |
| 82.83 | 11 |



(2)
# PmDy14Hf
Calculated PXRD pattern, Cu Kα. Input: a PBE-relaxed structure.
Peak positions follow from Bragg's law for the DFT cell and can differ from measured ones.

Crystal structure
a b c (Å): 7.044 7.044 9.923
angles (deg): 90.00 90.00 90.00
Space group P4/mmm (No. 123)
Inequivalent atoms, fractional coordinates:
Pm 0.000 0.000 0.000 [1 per cell]
Dy 0.000 0.000 0.500 [1 per cell]
Dy 0.000 0.500 0.000 [2 per cell]
Dy 0.000 0.500 0.500 [2 per cell]
Dy 0.256 0.256 0.245 [8 per cell]
Dy 0.500 0.500 0.500 [1 per cell]
Hf 0.500 0.500 0.000 [1 per cell]

Most intense lines, 10 to 90 degrees two-theta, sorted by position:
| Position (°2θ) | I/Imax |
| --- | --- |
| 31.14 | 100 |
| 36.06 | 34 |
| 36.21 | 17 |
| 52.03 | 24 |
| 61.80 | 28 |
| 61.99 | 14 |



(3)
# DyHfPt2
Calculated PXRD pattern, Cu Kα. Input: a PBE-relaxed structure.
Peak positions follow from Bragg's law for the DFT cell and can differ from measured ones.

Crystal structure
a b c (Å): 5.723 4.490 6.816
angles (deg): 90.00 110.30 90.00
Space group P2_1/m (No. 11)
Inequivalent atoms, fractional coordinates:
Dy 0.179 0.250 0.404 [2 per cell]
Hf 0.359 0.750 0.106 [2 per cell]
Pt 0.116 0.250 0.887 [2 per cell]
Pt 0.371 0.750 0.718 [2 per cell]

Most intense lines, 10 to 90 degrees two-theta, sorted by position:
| Position (°2θ) | I/Imax |
| --- | --- |
| 34.44 | 100 |
| 35.43 | 45 |
| 39.10 | 96 |
| 40.17 | 50 |
| 54.63 | 27 |
| 69.32 | 18 |